[1]
The following is a theoretical powder diffraction line list of GdHfF7. It was derived from a DFT-relaxed cell (GGA-PBE, Alexandria), using Cu Kα (λ = 1.5418 Å).
Neutral-atom scattering factors, no anomalous dispersion.

Top 10 peaks for 10 to 90 degrees two-theta, by angle:
2θ (°)	I/Imax
21.2	100.0
21.8	39.6
22.3	16.5
25.4	18.5
28.0	31.2
32.9	15.3
42.8	16.2
46.4	17.2
47.0	14.6
50.6	16.4

Atomic structure:
Cell lengths 6.1438, 5.8654, 8.3701 Å; angles 90.00, 103.02, 90.00 degrees
Element x y z (fractional)
Gd (0.1545, 0.0000, 0.1899)
Gd (0.8455, 0.5000, 0.8101)
Hf (0.3156, 0.0058, 0.7255)
Hf (0.6844, 0.5058, 0.2745)
F (0.0340, 0.7146, 0.0136)
F (0.0814, 0.7624, 0.7073)
F (0.0927, 0.2615, 0.7064)
F (0.2706, 0.0020, 0.4805)
F (0.3599, 0.0107, 0.9696)
F (0.4351, 0.2754, 0.2541)
F (0.4466, 0.7455, 0.2632)
F (0.5534, 0.2455, 0.7368)
F (0.5649, 0.7754, 0.7459)
F (0.6401, 0.5107, 0.0304)
F (0.7294, 0.5020, 0.5195)
F (0.9073, 0.7615, 0.2936)
F (0.9186, 0.2624, 0.2927)
F (0.9660, 0.2146, 0.9864)



[2]
The following is a theoretical powder diffraction line list of Li3Ac2SnPd12. It was derived from a DFT-relaxed cell (GGA-PBE, Alexandria), using Cu Kα (λ = 1.5418 Å).
Neutral-atom scattering factors, no anomalous dispersion.

Top 10 peaks for 10 to 90 degrees two-theta, by angle:
2θ (°)	I/Imax
16.3	28.3
29.3	34.7
34.6	100.0
36.6	15.4
37.3	34.0
40.7	68.7
48.5	19.3
50.2	17.8
57.6	26.4
84.3	14.8

Atomic structure:
Cell lengths 10.4884, 10.4884, 10.4884 Å; angles 35.54, 35.54, 35.54 degrees
Element x y z (fractional)
Li (0.0000, 0.5000, 0.5000)
Li (0.5000, 0.0000, 0.5000)
Li (0.5000, 0.5000, 0.0000)
Ac (0.1318, 0.1318, 0.1318)
Ac (0.8682, 0.8682, 0.8682)
Sn (0.5000, 0.5000, 0.5000)
Pd (0.0739, 0.6255, 0.6255)
Pd (0.0980, 0.0980, 0.6761)
Pd (0.0980, 0.6761, 0.0980)
Pd (0.3239, 0.9020, 0.9020)
Pd (0.3745, 0.3745, 0.9261)
Pd (0.3745, 0.9261, 0.3745)
Pd (0.6255, 0.0739, 0.6255)
Pd (0.6255, 0.6255, 0.0739)
Pd (0.6761, 0.0980, 0.0980)
Pd (0.9020, 0.3239, 0.9020)
Pd (0.9020, 0.9020, 0.3239)
Pd (0.9261, 0.3745, 0.3745)



[3]
The following is a theoretical powder diffraction line list of HoSc4S4. It was derived from a DFT-relaxed cell (GGA-PBE, Alexandria), using Cu Kα (λ = 1.5418 Å).
Neutral-atom scattering factors, no anomalous dispersion.

Top 10 peaks for 10 to 90 degrees two-theta, by angle:
2θ (°)	I/Imax
11.3	41.2
14.8	24.8
26.1	13.1
29.6	27.0
29.9	10.4
34.4	100.0
49.2	31.6
49.6	30.4
61.3	18.0
82.3	9.7

Atomic structure:
Cell lengths 6.4086, 6.4086, 8.9688 Å; angles 117.97, 117.97, 33.64 degrees
Element x y z (fractional)
Ho (0.0000, 0.0000, 0.0000)
Sc (0.2089, 0.2089, 0.8026)
Sc (0.4000, 0.4000, 0.6027)
Sc (0.6000, 0.6000, 0.3973)
Sc (0.7911, 0.7911, 0.1974)
S (0.2034, 0.2034, 0.3105)
S (0.3957, 0.3957, 0.1099)
S (0.6043, 0.6043, 0.8901)
S (0.7966, 0.7966, 0.6895)



[4]
The following is a theoretical powder diffraction line list of Ac5CePb6. It was derived from a DFT-relaxed cell (GGA-PBE, Alexandria), using Cu Kα (λ = 1.5418 Å).
Neutral-atom scattering factors, no anomalous dispersion.

Top 10 peaks for 10 to 90 degrees two-theta, by angle:
2θ (°)	I/Imax
28.9	66.0
29.0	63.2
31.8	100.0
31.9	99.1
41.4	49.5
49.6	13.7
53.0	24.4
53.3	71.6
58.5	16.3
81.6	14.8

Atomic structure:
Cell lengths 10.3954, 10.3954, 6.1733 Å; angles 107.17, 107.17, 125.11 degrees
Element x y z (fractional)
Ac (0.0000, 0.0000, 0.0000)
Ac (0.1603, 0.8397, 0.5000)
Ac (0.3249, 0.6751, 0.0000)
Ac (0.6751, 0.3249, 0.0000)
Ac (0.8397, 0.1603, 0.5000)
Ce (0.5000, 0.5000, 0.5000)
Pb (0.1021, 0.4283, 0.2654)
Pb (0.2767, 0.2767, 0.7763)
Pb (0.4283, 0.1021, 0.2654)
Pb (0.5717, 0.8979, 0.7346)
Pb (0.7233, 0.7233, 0.2237)
Pb (0.8979, 0.5717, 0.7346)



[5]
The following is a theoretical powder diffraction line list of Tb2Ho3Se8. It was derived from a DFT-relaxed cell (GGA-PBE, Alexandria), using Cu Kα (λ = 1.5418 Å).
Neutral-atom scattering factors, no anomalous dispersion.

Top 10 peaks for 10 to 90 degrees two-theta, by angle:
2θ (°)	I/Imax
20.1	58.4
22.7	45.9
25.5	31.4
26.7	54.6
27.1	27.4
33.6	100.0
34.1	48.6
40.4	95.9
44.2	34.1
44.8	66.8

Atomic structure:
Cell lengths 8.2333, 8.2333, 6.9723 Å; angles 106.82, 106.82, 59.68 degrees
Element x y z (fractional)
Tb (0.2420, 0.2420, 0.1625)
Tb (0.7580, 0.7580, 0.8375)
Ho (0.2388, 0.7612, 0.5000)
Ho (0.5000, 0.5000, 0.0000)
Ho (0.7612, 0.2388, 0.5000)
Se (0.1199, 0.1199, 0.4113)
Se (0.1386, 0.6164, 0.0864)
Se (0.3823, 0.3823, 0.5772)
Se (0.3836, 0.8614, 0.9136)
Se (0.6164, 0.1386, 0.0864)
Se (0.6177, 0.6177, 0.4228)
Se (0.8614, 0.3836, 0.9136)
Se (0.8801, 0.8801, 0.5887)



[6]
The following is a theoretical powder diffraction line list of Zn2Au5. It was derived from a DFT-relaxed cell (GGA-PBE, Alexandria), using Cu Kα (λ = 1.5418 Å).
Neutral-atom scattering factors, no anomalous dispersion.

Top 10 peaks for 10 to 90 degrees two-theta, by angle:
2θ (°)	I/Imax
35.0	53.8
35.3	77.8
37.4	36.0
37.8	67.4
38.7	93.0
40.1	54.3
41.6	100.0
43.0	97.3
64.1	49.7
79.8	27.6

Atomic structure:
Cell lengths 7.7334, 7.7334, 7.7334 Å; angles 127.43, 69.86, 137.44 degrees
Element x y z (fractional)
Zn (0.1220, 0.2257, 0.3477)
Zn (0.3780, 0.7257, 0.1037)
Zn (0.6220, 0.2743, 0.8963)
Zn (0.8780, 0.7743, 0.6523)
Au (0.0197, 0.7500, 0.2697)
Au (0.0879, 0.8411, 0.9290)
Au (0.2500, 0.7500, 0.5000)
Au (0.4121, 0.3411, 0.7532)
Au (0.4803, 0.7500, 0.7303)
Au (0.5197, 0.2500, 0.2697)
Au (0.5879, 0.6589, 0.2468)
Au (0.7500, 0.2500, 0.5000)
Au (0.9121, 0.1589, 0.0710)
Au (0.9803, 0.2500, 0.7303)